Simulated powder X-ray diffraction pattern of Na2Zn2S3O12 for Cu Kα, from DFT lattice parameters and positions (PBE).
Neutral-atom scattering factors, no anomalous dispersion.

Crystal structure
```
data_Na2Zn2S3O12
_cell_length_a 8.850
_cell_length_b 8.850
_cell_length_c 9.072
_cell_angle_alpha 119.00
_cell_angle_beta 119.00
_cell_angle_gamma 59.48
_space_group_name_H-M_alt 'P 1'
_space_group_IT_number 1
_space_group_name_Hall 'P 1'
loop_
_atom_site_label
_atom_site_fract_x
_atom_site_fract_y
_atom_site_fract_z
Na1 0.000 0.500 0.500
Na2 0.115 0.885 0.750
Na3 0.500 0.000 0.000
Na4 0.885 0.115 0.250
Zn1 0.154 0.641 0.953
Zn2 0.359 0.846 0.547
Zn3 0.641 0.154 0.453
Zn4 0.846 0.359 0.047
S1 0.043 0.251 0.748
S2 0.251 0.043 0.248
S3 0.457 0.543 0.750
S4 0.543 0.457 0.250
S5 0.749 0.957 0.752
S6 0.957 0.749 0.252
O1 0.015 0.270 0.906
O2 0.067 0.414 0.767
O3 0.081 0.215 0.232
O4 0.116 0.778 0.417
O5 0.215 0.081 0.732
O6 0.222 0.884 0.083
O7 0.270 0.015 0.406
O8 0.281 0.574 0.767
O9 0.384 0.481 0.089
O10 0.414 0.067 0.267
O11 0.426 0.719 0.733
O12 0.481 0.384 0.589
O13 0.519 0.616 0.411
O14 0.574 0.281 0.267
O15 0.586 0.933 0.733
O16 0.616 0.519 0.911
O17 0.719 0.426 0.233
O18 0.730 0.985 0.594
O19 0.778 0.116 0.917
O20 0.785 0.919 0.268
O21 0.884 0.222 0.583
O22 0.919 0.785 0.768
O23 0.933 0.586 0.233
O24 0.985 0.730 0.094
```

Peak list (6 most intense, 2θ = 5–70°, sorted by position)
19.54 deg, rel. 57.7
23.25 deg, rel. 42.3
23.42 deg, rel. 84.5
31.11 deg, rel. 66.2
31.31 deg, rel. 100.0
35.32 deg, rel. 40.6